Starting from a crystal structure in Alexandria, relaxed with GGA-PBE, the X-ray powder pattern of NdY2Tm3Te6 was computed for Cu Kα, 1.54184 Å.

The 10 most intense peaks (5° ≤ 2θ ≤ 70°), by angle:
2θ 12.23, rel. 5, hkl 2 0 -1; 2θ 28.98, rel. 100, hkl 1 1 -2; 2θ 41.09, rel. 38, hkl 2 0 -4; 2θ 41.81, rel. 37, hkl 0 2 0; 2θ 50.45, rel. 7, hkl 8 0 -4; 2θ 51.67, rel. 20, hkl 6 2 0; 2θ 60.06, rel. 12, hkl 2 2 -4; 2θ 67.53, rel. 17, hkl 8 2 -4; 2θ 68.53, rel. 11, hkl 4 2 4; 2θ 68.62, rel. 6, hkl 1 3 -2

a = 19.104 Å, b = 4.317 Å, c = 8.796 Å
α = 90.00°, β = 104.59°, γ = 90.00°
Space group C2/m (No. 12)
One atom of each set of equivalent atoms:
1 Nd 0.000 0.000 0.000 (multiplicity 2)
2 Y 0.163 0.500 0.327 (multiplicity 4)
3 Tm 0.000 0.000 0.500 (multiplicity 2)
4 Tm 0.163 0.500 0.831 (multiplicity 4)
5 Te 0.001 0.500 0.739 (multiplicity 4)
6 Te 0.167 0.000 0.585 (multiplicity 4)
7 Te 0.172 0.000 0.080 (multiplicity 4)

Starting from a crystal structure in Alexandria, relaxed with GGA-PBE, the X-ray powder pattern of LaTbPr2Ho was computed for Cu Kα, 1.54184 Å.

The 10 most intense peaks (5° ≤ 2θ ≤ 70°), by angle:
2θ 20.81, rel. 32, hkl 2 0 0; 2θ 27.39, rel. 58, hkl 2 1 -1; 2θ 28.35, rel. 44, hkl 0 0 2; 2θ 29.03, rel. 100, hkl 1 2 0; 2θ 29.88, rel. 75, hkl 2 1 1; 2θ 31.46, rel. 60, hkl 3 0 0; 2θ 31.83, rel. 47, hkl 1 2 -1; 2θ 34.33, rel. 79, hkl 1 1 2; 2θ 42.49, rel. 38, hkl 3 1 -2; 2θ 52.64, rel. 37, hkl 3 3 0

a = 8.598 Å, b = 6.595 Å, c = 6.341 Å
α = 90.00°, β = 96.77°, γ = 90.00°
Space group P2/c (No. 13)
One atom of each set of equivalent atoms:
1 La 0.000 0.000 0.000 (multiplicity 2)
2 Tb 0.000 0.438 0.250 (multiplicity 2)
3 Pr 0.311 0.311 0.711 (multiplicity 4)
4 Ho 0.500 0.165 0.250 (multiplicity 2)

Starting from a crystal structure in Alexandria, relaxed with GGA-PBE, the X-ray powder pattern of NdPuSi4 was computed for Cu Kα, 1.54184 Å.

The 10 most intense peaks (5° ≤ 2θ ≤ 70°), by angle:
2θ 21.81, rel. 18, hkl 1 0 0; 2θ 25.19, rel. 57, hkl 0 0 2; 2θ 33.55, rel. 100, hkl 1 1 1; 2θ 44.33, rel. 20, hkl 0 1 3; 2θ 44.46, rel. 19, hkl 2 0 0; 2θ 49.93, rel. 8, hkl 1 1 3; 2θ 51.78, rel. 23, hkl 2 0 2; 2θ 56.66, rel. 8, hkl 1 0 4; 2θ 56.81, rel. 15, hkl 1 2 2; 2θ 64.59, rel. 13, hkl 2 1 3

a = 4.075 Å, b = 4.075 Å, c = 7.086 Å
α = 90.00°, β = 90.00°, γ = 90.00°
Space group Pmmm (No. 47)
One atom of each set of equivalent atoms:
1 Nd 0.000 0.000 0.000 (multiplicity 1)
2 Pu 0.000 0.500 0.500 (multiplicity 1)
3 Si 0.500 0.000 0.337 (multiplicity 2)
4 Si 0.500 0.500 0.170 (multiplicity 2)

Starting from a crystal structure in Alexandria, relaxed with GGA-PBE, the X-ray powder pattern of TbTl2Cu2Se4 was computed for Cu Kα, 1.54184 Å.

The 10 most intense peaks (5° ≤ 2θ ≤ 70°), by angle:
2θ 23.08, rel. 25, hkl 1 1 0; 2θ 24.13, rel. 20, hkl 4 0 -1; 2θ 28.48, rel. 25, hkl 4 0 -2; 2θ 29.21, rel. 54, hkl 3 1 -1; 2θ 30.91, rel. 49, hkl 4 0 1; 2θ 31.54, rel. 100, hkl 1 1 -2; 2θ 33.69, rel. 76, hkl 3 1 1; 2θ 37.61, rel. 31, hkl 5 1 -1; 2θ 45.31, rel. 32, hkl 0 2 0; 2θ 51.06, rel. 42, hkl 3 1 3

a = 14.941 Å, b = 4.003 Å, c = 8.047 Å
α = 90.00°, β = 108.19°, γ = 90.00°
Space group C2/m (No. 12)
One atom of each set of equivalent atoms:
1 Tb 0.000 0.000 0.000 (multiplicity 2)
2 Tl 0.132 0.000 0.559 (multiplicity 4)
3 Cu 0.183 0.500 0.990 (multiplicity 4)
4 Se 0.026 0.500 0.764 (multiplicity 4)
5 Se 0.202 0.000 0.179 (multiplicity 4)